[1]
Starting from a crystal structure in the Materials Project, relaxed with GGA+U, the powder diffraction line list of Li2NiH8C2O10 was calculated for CuKα.

Crystal structure
Cell lengths 6.060, 5.891, 12.086 Å; angles 90.00, 112.08, 90.00 degrees
Space group P2_1/c (No. 14)
Symmetry-distinct sites (fractional):
Li  0.222  0.223  0.315 x4
Ni  0.000  0.000  0.000 x2
H  0.190  0.664  0.363 x4
H  0.235  0.688  0.984 x4
H  0.329  0.173  0.571 x4
H  0.450  0.090  0.104 x4
C  0.265  0.644  0.185 x4
O  0.098  0.705  0.654 x4
O  0.108  0.748  0.410 x4
O  0.303  0.528  0.282 x4
O  0.319  0.170  0.039 x4
O  0.393  0.602  0.122 x4

Most intense lines, 2θ from 10° to 90°, most intense first:
- hkl 1 1 1, 2θ = 25.3°, intensity 100
- hkl 0 1 1, 2θ = 17.0°, intensity 77
- hkl 1 0 -2, 2θ = 17.7°, intensity 68
- hkl 1 0 0, 2θ = 15.8°, intensity 63
- hkl 1 2 -4, 2θ = 43.1°, intensity 41
- hkl 2 1 -1, 2θ = 33.5°, intensity 34


[2]
Starting from a crystal structure in the Materials Project, relaxed with GGA+U, the powder diffraction line list of LiNdW2O8 was calculated for CuKα.

Crystal structure
Cell lengths 5.345, 5.345, 11.417 Å; angles 90.00, 90.00, 90.00 degrees
Space group I-4 (No. 82)
Symmetry-distinct sites (fractional):
Li  0.000  0.000  0.000 x2
Nd  0.000  0.500  0.250 x2
W  0.000  0.000  0.500 x2
W  0.000  0.500  0.750 x2
O  0.152  0.241  0.411 x8
O  0.157  0.743  0.836 x8

Most intense lines, 2θ from 10° to 90°, most intense first:
- hkl 1 1 2, 2θ = 28.3°, intensity 100
- hkl 1 0 1, 2θ = 18.3°, intensity 39
- hkl 2 0 4, 2θ = 46.6°, intensity 31
- hkl 1 3 2, 2θ = 56.8°, intensity 28
- hkl 2 0 0, 2θ = 33.5°, intensity 22
- hkl 1 1 6, 2θ = 53.9°, intensity 17


[3]
Starting from a crystal structure in the Materials Project, relaxed with GGA+U, the powder diffraction line list of Li6MnFe2O6 was calculated for CuKα.

Crystal structure
Cell lengths 3.228, 6.152, 14.799 Å; angles 94.47, 94.87, 105.07 degrees
Space group P1 (No. 1)
Symmetry-distinct sites (fractional):
Li  0.000  0.000  0.000 x1
Li  0.001  0.335  0.664 x1
Li  0.003  0.668  0.332 x1
Li  0.133  0.780  0.489 x1
Li  0.134  0.445  0.821 x1
Li  0.145  0.114  0.155 x1
Li  0.498  0.501  0.501 x1
Li  0.507  0.170  0.834 x1
Li  0.513  0.835  0.167 x1
Li  0.638  0.944  0.324 x1
Li  0.641  0.279  0.991 x1
Li  0.646  0.615  0.656 x1
Mn  0.321  0.307  0.329 x1
Mn  0.821  0.808  0.828 x1
Fe  0.322  0.636  0.994 x1
Fe  0.325  0.979  0.661 x1
Fe  0.820  0.141  0.495 x1
Fe  0.822  0.473  0.160 x1
O  0.192  0.989  0.397 x1
O  0.195  0.323  0.064 x1
O  0.200  0.660  0.730 x1
O  0.446  0.290  0.591 x1
O  0.446  0.956  0.925 x1
O  0.450  0.624  0.258 x1
O  0.682  0.494  0.899 x1
O  0.686  0.834  0.564 x1
O  0.700  0.163  0.229 x1
O  0.942  0.451  0.427 x1
O  0.960  0.778  0.091 x1
O  0.961  0.124  0.756 x1

Most intense lines, 2θ from 10° to 90°, most intense first:
- hkl 0 1 1, 2θ = 16.8°, intensity 100
- hkl -1 1 4, 2θ = 36.9°, intensity 40
- hkl 1 0 3, 2θ = 36.0°, intensity 36
- hkl 0 2 -4, 2θ = 37.0°, intensity 32
- hkl 0 1 7, 2θ = 47.5°, intensity 18
- hkl 1 1 4, 2θ = 46.8°, intensity 16


[4]
Starting from a crystal structure in the Materials Project, relaxed with GGA+U, the powder diffraction line list of TlV3CdCu4O13 was calculated for CuKα.

Crystal structure
Cell lengths 8.474, 6.372, 10.953 Å; angles 90.00, 97.20, 90.00 degrees
Space group P2_1/m (No. 11)
Symmetry-distinct sites (fractional):
Tl  0.010  0.250  0.398 x2
V  0.037  0.750  0.201 x2
V  0.325  0.750  0.879 x2
V  0.361  0.750  0.492 x2
Cd  0.303  0.250  0.638 x2
Cu  0.099  0.250  0.108 x2
Cu  0.355  0.250  0.941 x2
Cu  0.390  0.501  0.219 x4
O  0.045  0.250  0.665 x2
O  0.120  0.250  0.922 x2
O  0.125  0.750  0.880 x2
O  0.160  0.523  0.202 x4
O  0.246  0.534  0.518 x4
O  0.341  0.250  0.122 x2
O  0.383  0.510  0.807 x4
O  0.414  0.750  0.031 x2
O  0.422  0.750  0.328 x2
O  0.476  0.250  0.403 x2

Most intense lines, 2θ from 10° to 90°, most intense first:
- hkl 1 1 3, 2θ = 31.4°, intensity 100
- hkl 0 2 0, 2θ = 28.0°, intensity 84
- hkl 2 1 -2, 2θ = 28.8°, intensity 71
- hkl 2 1 -3, 2θ = 33.7°, intensity 59
- hkl 3 0 0, 2θ = 31.9°, intensity 53
- hkl 0 2 4, 2θ = 43.8°, intensity 43